Diffraction record for Na3B3H2O7. The X-ray powder pattern is computed, not measured: it uses a structure optimized by DFT (GGA-PBE) and Cu Kα, 1.54184 Å.
Intensities are scaled so that the largest is 100.

Peak list (10 most intense, 10 to 90 degrees two-theta, sorted by position)
d/Å	Position (°2θ)	I/Imax
4.810	18.44	80
3.639	24.46	96
3.183	28.04	64
2.902	30.81	84
2.761	32.42	61
2.438	36.88	48
2.187	41.27	100
1.958	46.37	68
1.875	48.55	69
1.820	50.13	59

a b c (Å): 8.9837 7.2773 9.6208
angles (deg): 90.00 90.00 90.00
Space group Pnma (No. 62)
Unique sites:
Na 0.0389 0.2500 0.1698 (multiplicity 4)
Na 0.2259 0.5009 0.8034 (multiplicity 8)
B 0.0166 0.7500 0.2847 (multiplicity 4)
B 0.0957 0.7500 0.5425 (multiplicity 4)
B 0.1749 0.2500 0.5207 (multiplicity 4)
H 0.0873 0.6240 0.1083 (multiplicity 8)
O 0.0363 0.5830 0.1951 (multiplicity 8)
O 0.0599 0.2500 0.4209 (multiplicity 4)
O 0.1280 0.7500 0.3997 (multiplicity 4)
O 0.1365 0.2500 0.6602 (multiplicity 4)
O 0.1813 0.7500 0.9780 (multiplicity 4)
O 0.1982 0.7500 0.6424 (multiplicity 4)

Diffraction record for NaBH4O4. The X-ray powder pattern is computed, not measured: it uses a structure optimized by DFT (GGA-PBE) and Cu Kα, 1.54184 Å.
Intensities are scaled so that the largest is 100.

Peak list (10 most intense, 10 to 90 degrees two-theta, sorted by position)
d/Å	Position (°2θ)	I/Imax
5.276	16.81	100
5.050	17.56	45
3.813	23.33	51
2.886	30.98	39
2.876	31.10	17
2.774	32.27	24
2.669	33.58	24
2.525	35.56	44
2.445	36.76	32
2.338	38.50	19

a b c (Å): 6.2148 10.5513 5.9623
angles (deg): 90.00 112.27 90.00
Space group P2_1/c (No. 14)
Unique sites:
Na 0.2396 0.0169 0.2514 (multiplicity 4)
B 0.2712 0.5899 0.2284 (multiplicity 4)
H 0.0214 0.1194 0.5747 (multiplicity 4)
H 0.1367 0.6946 0.4293 (multiplicity 4)
H 0.3763 0.0904 0.8562 (multiplicity 4)
H 0.4965 0.7428 0.3492 (multiplicity 4)
O 0.1397 0.6030 0.3877 (multiplicity 4)
O 0.1448 0.6447 0.9841 (multiplicity 4)
O 0.3132 0.0471 0.6961 (multiplicity 4)
O 0.4935 0.1512 0.1637 (multiplicity 4)